Simulated X-ray diffraction stick pattern of Ba2HoB2ClO6 for Cu Kα (λ = 1.5418 Å), from a DFT-relaxed cell (GGA-PBE, the Materials Project).
Neutral-atom scattering factors, no anomalous dispersion.

Crystal structure
a = 6.463 Å, b = 5.346 Å, c = 11.469 Å
α = 90.00°, β = 95.90°, γ = 90.00°
Positions (direct):
Ba 0.094 0.250 0.206
Ba 0.341 0.250 0.576
Ba 0.659 0.750 0.424
Ba 0.906 0.750 0.794
Ho 0.347 0.250 0.913
Ho 0.653 0.750 0.087
B 0.210 0.750 0.072
B 0.378 0.750 0.726
B 0.622 0.250 0.274
B 0.790 0.250 0.928
Cl 0.150 0.750 0.415
Cl 0.850 0.250 0.585
O 0.007 0.750 0.095
O 0.294 0.527 0.764
O 0.294 0.973 0.764
O 0.325 0.530 0.064
O 0.325 0.970 0.064
O 0.476 0.250 0.353
O 0.524 0.750 0.647
O 0.675 0.030 0.936
O 0.675 0.470 0.936
O 0.706 0.027 0.236
O 0.706 0.473 0.236
O 0.993 0.250 0.905

Most intense lines, 2θ = 5–70°, most intense first:
| d/Å | 2theta | I/Imax | index |
| --- | --- | --- | --- |
| 3.099 | 28.81 | 100 | 0 1 3 |
| 4.110 | 21.62 | 65 | 1 1 0 |
| 3.790 | 23.47 | 32 | 1 1 1 |
| 2.673 | 33.53 | 32 | 0 2 0 |
| 3.432 | 25.96 | 25 | 1 0 -3 |
| 11.408 | 7.75 | 24 | 0 0 1 |